(1)
Starting from DFT lattice parameters and positions (GGA-PBE), the XRD peak list of Sc2MnSe4 was computed for λ = 1.5418 Å (Cu Kα).
Kinematic intensities with the Lorentz-polarization factor, no thermal factor.

Principal peaks in the range 15 to 90 degrees two-theta, most intense first:
46.1 deg, d = 1.970 Å, I 100; 32.1 deg, d = 2.786 Å, I 82; 27.7 deg, d = 3.217 Å, I 68; 85.3 deg, d = 1.137 Å, I 30; 54.6 deg, d = 1.680 Å, I 29; 26.5 deg, d = 3.360 Å, I 28; 76.4 deg, d = 1.246 Å, I 24; 42.1 deg, d = 2.145 Å, I 20

Cell and atoms:
```
data_Sc2MnSe4
_chemical_formula_sum 'Sc4 Mn2 Se8'
_space_group_name_H-M_alt 'P 1'
_space_group_IT_number 1
_space_group_name_Hall 'P 1'
_cell_length_a 7.8805
_cell_length_b 7.8805
_cell_length_c 7.8805
_cell_angle_alpha 60.00
_cell_angle_beta 60.00
_cell_angle_gamma 60.00
loop_
_atom_site_label
_atom_site_fract_x
_atom_site_fract_y
_atom_site_fract_z
Sc1 0.0000 0.0000 0.0000
Sc2 0.0000 0.0000 0.5000
Sc3 0.0000 0.5000 0.0000
Sc4 0.5000 0.0000 0.0000
Mn1 0.3750 0.3750 0.3750
Mn2 0.6250 0.6250 0.6250
Se1 0.2323 0.7559 0.7559
Se2 0.2441 0.2441 0.2441
Se3 0.2441 0.2441 0.7677
Se4 0.2441 0.7677 0.2441
Se5 0.7559 0.2323 0.7559
Se6 0.7559 0.7559 0.2323
Se7 0.7559 0.7559 0.7559
Se8 0.7677 0.2441 0.2441
```

***

(2)
Starting from DFT lattice parameters and positions (GGA-PBE), the XRD peak list of ScMn2Tl2Se4 was computed for λ = 1.5418 Å (Cu Kα).
Kinematic intensities with the Lorentz-polarization factor, no thermal factor.

Principal peaks in the range 15 to 90 degrees two-theta, most intense first:
31.7 deg, d = 2.819 Å, I 100; 28.9 deg, d = 3.086 Å, I 73; 33.7 deg, d = 2.661 Å, I 63; 28.5 deg, d = 3.129 Å, I 47; 31.1 deg, d = 2.875 Å, I 32; 44.7 deg, d = 2.026 Å, I 32; 26.7 deg, d = 3.334 Å, I 27; 30.5 deg, d = 2.933 Å, I 27

Cell and atoms:
```
data_ScMn2Tl2Se4
_chemical_formula_sum 'Sc1 Mn2 Tl2 Se4'
_space_group_name_H-M_alt 'P 1'
_space_group_IT_number 1
_space_group_name_Hall 'P 1'
_cell_length_a 7.8077
_cell_length_b 7.8077
_cell_length_c 7.8630
_cell_angle_alpha 108.18
_cell_angle_beta 108.18
_cell_angle_gamma 30.08
loop_
_atom_site_label
_atom_site_fract_x
_atom_site_fract_y
_atom_site_fract_z
Sc1 0.0000 0.0000 0.0000
Mn1 0.3254 0.3254 0.0276
Mn2 0.6746 0.6746 0.9724
Tl1 0.1325 0.1325 0.5676
Tl2 0.8675 0.8675 0.4324
Se1 0.1934 0.1934 0.1754
Se2 0.4886 0.4886 0.2330
Se3 0.5114 0.5114 0.7670
Se4 0.8066 0.8066 0.8246
```

***

(3)
Starting from DFT lattice parameters and positions (GGA-PBE), the XRD peak list of ScMnSi2 was computed for λ = 1.5418 Å (Cu Kα).
Kinematic intensities with the Lorentz-polarization factor, no thermal factor.

Principal peaks in the range 15 to 90 degrees two-theta, most intense first:
37.1 deg, d = 2.421 Å, I 100; 47.1 deg, d = 1.929 Å, I 54; 38.0 deg, d = 2.370 Å, I 43; 17.3 deg, d = 5.113 Å, I 25; 49.2 deg, d = 1.851 Å, I 22; 47.6 deg, d = 1.911 Å, I 16; 24.0 deg, d = 3.703 Å, I 14; 59.1 deg, d = 1.564 Å, I 13

Cell and atoms:
```
data_ScMnSi2
_chemical_formula_sum 'Sc1 Mn1 Si2'
_space_group_name_H-M_alt 'P 1'
_space_group_IT_number 1
_space_group_name_Hall 'P 1'
_cell_length_a 4.1107
_cell_length_b 4.1107
_cell_length_c 5.2492
_cell_angle_alpha 102.10
_cell_angle_beta 102.10
_cell_angle_gamma 44.72
loop_
_atom_site_label
_atom_site_fract_x
_atom_site_fract_y
_atom_site_fract_z
Sc1 0.0000 0.0000 0.0000
Mn1 0.5000 0.5000 0.5000
Si1 0.2336 0.2336 0.6714
Si2 0.7664 0.7664 0.3286
```

***

(4)
Starting from DFT lattice parameters and positions (GGA-PBE), the XRD peak list of Sc2Mn3Si4 was computed for λ = 1.5418 Å (Cu Kα).
Kinematic intensities with the Lorentz-polarization factor, no thermal factor.

Principal peaks in the range 15 to 90 degrees two-theta, most intense first:
40.2 deg, d = 2.244 Å, I 100; 40.4 deg, d = 2.234 Å, I 78; 44.8 deg, d = 2.021 Å, I 69; 45.1 deg, d = 2.010 Å, I 51; 37.1 deg, d = 2.421 Å, I 29; 31.7 deg, d = 2.825 Å, I 29; 45.3 deg, d = 2.003 Å, I 25; 65.4 deg, d = 1.427 Å, I 21

Cell and atoms:
```
data_Sc2Mn3Si4
_chemical_formula_sum 'Sc4 Mn6 Si8'
_space_group_name_H-M_alt 'P 1'
_space_group_IT_number 1
_space_group_name_Hall 'P 1'
_cell_length_a 6.3896
_cell_length_b 6.3960
_cell_length_c 6.3923
_cell_angle_alpha 90.00
_cell_angle_beta 109.85
_cell_angle_gamma 90.00
loop_
_atom_site_label
_atom_site_fract_x
_atom_site_fract_y
_atom_site_fract_z
Sc1 0.1892 0.1681 0.0542
Sc2 0.1892 0.3319 0.5542
Sc3 0.8108 0.6681 0.4458
Sc4 0.8108 0.8319 0.9458
Mn1 0.2396 0.6463 0.2570
Mn2 0.2396 0.8537 0.7570
Mn3 0.5000 0.0000 0.5000
Mn4 0.5000 0.5000 0.0000
Mn5 0.7604 0.1463 0.2430
Mn6 0.7604 0.3537 0.7430
Si1 0.1031 0.5523 0.8742
Si2 0.1031 0.9477 0.3742
Si3 0.4882 0.6429 0.6336
Si4 0.4882 0.8571 0.1336
Si5 0.5118 0.1429 0.8664
Si6 0.5118 0.3571 0.3664
Si7 0.8969 0.0523 0.6258
Si8 0.8969 0.4477 0.1258
```

***

(5)
Starting from DFT lattice parameters and positions (GGA-PBE), the XRD peak list of Sc4Mn4Si7 was computed for λ = 1.5418 Å (Cu Kα).
Kinematic intensities with the Lorentz-polarization factor, no thermal factor.

Principal peaks in the range 15 to 90 degrees two-theta, most intense first:
38.6 deg, d = 2.335 Å, I 100; 41.6 deg, d = 2.169 Å, I 88; 41.2 deg, d = 2.190 Å, I 44; 38.8 deg, d = 2.323 Å, I 39; 46.2 deg, d = 1.966 Å, I 32; 45.1 deg, d = 2.011 Å, I 27; 65.4 deg, d = 1.428 Å, I 25; 21.4 deg, d = 4.156 Å, I 20

Cell and atoms:
```
data_Sc4Mn4Si7
_chemical_formula_sum 'Sc8 Mn8 Si14'
_space_group_name_H-M_alt 'P 1'
_space_group_IT_number 1
_space_group_name_Hall 'P 1'
_cell_length_a 9.6339
_cell_length_b 9.6339
_cell_length_c 9.6339
_cell_angle_alpha 94.00
_cell_angle_beta 94.00
_cell_angle_gamma 149.39
loop_
_atom_site_label
_atom_site_fract_x
_atom_site_fract_y
_atom_site_fract_z
Sc1 0.0000 0.1989 0.1989
Sc2 0.0000 0.8011 0.8011
Sc3 0.1989 0.0000 0.1989
Sc4 0.3603 0.3603 0.7206
Sc5 0.3603 0.6397 0.0000
Sc6 0.6397 0.3603 0.0000
Sc7 0.6397 0.6397 0.2794
Sc8 0.8011 0.0000 0.8011
Mn1 0.1022 0.6022 0.2044
Mn2 0.1022 0.8978 0.5000
Mn3 0.3978 0.6022 0.5000
Mn4 0.3978 0.8978 0.7956
Mn5 0.6022 0.1022 0.2044
Mn6 0.6022 0.3978 0.5000
Mn7 0.8978 0.1022 0.5000
Mn8 0.8978 0.3978 0.7956
Si1 0.0000 0.4098 0.4098
Si2 0.0000 0.5902 0.5902
Si3 0.2021 0.5000 0.7021
Si4 0.2097 0.2097 0.4194
Si5 0.2097 0.7903 0.0000
Si6 0.2495 0.2495 0.0000
Si7 0.4098 0.0000 0.4098
Si8 0.5000 0.2021 0.7021
Si9 0.5000 0.7979 0.2979
Si10 0.5902 0.0000 0.5902
Si11 0.7505 0.7505 0.0000
Si12 0.7903 0.2097 0.0000
Si13 0.7903 0.7903 0.5806
Si14 0.7979 0.5000 0.2979
```

***

(6)
Starting from DFT lattice parameters and positions (GGA-PBE), the XRD peak list of SrSc4Mn was computed for λ = 1.5418 Å (Cu Kα).
Kinematic intensities with the Lorentz-polarization factor, no thermal factor.

Principal peaks in the range 15 to 90 degrees two-theta, most intense first:
34.1 deg, d = 2.628 Å, I 100; 29.0 deg, d = 3.081 Å, I 44; 54.7 deg, d = 1.677 Å, I 32; 35.7 deg, d = 2.516 Å, I 26; 60.1 deg, d = 1.541 Å, I 24; 85.6 deg, d = 1.135 Å, I 18; 51.4 deg, d = 1.779 Å, I 17; 70.9 deg, d = 1.329 Å, I 10

Cell and atoms:
```
data_SrSc4Mn
_chemical_formula_sum 'Sr1 Sc4 Mn1'
_space_group_name_H-M_alt 'P 1'
_space_group_IT_number 1
_space_group_name_Hall 'P 1'
_cell_length_a 6.1623
_cell_length_b 6.1623
_cell_length_c 6.1623
_cell_angle_alpha 60.00
_cell_angle_beta 60.00
_cell_angle_gamma 60.00
loop_
_atom_site_label
_atom_site_fract_x
_atom_site_fract_y
_atom_site_fract_z
Sr1 0.0000 0.0000 0.0000
Sc1 0.3775 0.3775 0.3775
Sc2 0.3775 0.3775 0.8676
Sc3 0.3775 0.8676 0.3775
Sc4 0.8676 0.3775 0.3775
Mn1 0.7500 0.7500 0.7500
```

***

(7)
Starting from DFT lattice parameters and positions (GGA-PBE), the XRD peak list of TbScMn was computed for λ = 1.5418 Å (Cu Kα).
Kinematic intensities with the Lorentz-polarization factor, no thermal factor.

Principal peaks in the range 15 to 90 degrees two-theta, most intense first:
29.1 deg, d = 3.073 Å, I 100; 42.3 deg, d = 2.137 Å, I 69; 29.2 deg, d = 3.060 Å, I 60; 28.3 deg, d = 3.149 Å, I 48; 32.1 deg, d = 2.785 Å, I 45; 34.4 deg, d = 2.605 Å, I 44; 36.2 deg, d = 2.484 Å, I 40; 32.4 deg, d = 2.766 Å, I 38

Cell and atoms:
```
data_TbScMn
_chemical_formula_sum 'Tb4 Sc4 Mn4'
_space_group_name_H-M_alt 'P 1'
_space_group_IT_number 1
_space_group_name_Hall 'P 1'
_cell_length_a 6.7495
_cell_length_b 6.7495
_cell_length_c 7.3669
_cell_angle_alpha 90.00
_cell_angle_beta 90.00
_cell_angle_gamma 124.37
loop_
_atom_site_label
_atom_site_fract_x
_atom_site_fract_y
_atom_site_fract_z
Tb1 0.1936 0.8064 0.8943
Tb2 0.3064 0.6936 0.3943
Tb3 0.6936 0.3064 0.6057
Tb4 0.8064 0.1936 0.1057
Sc1 0.2034 0.2966 0.7500
Sc2 0.2966 0.2034 0.2500
Sc3 0.7034 0.7966 0.7500
Sc4 0.7966 0.7034 0.2500
Mn1 0.0937 0.9063 0.5486
Mn2 0.4063 0.5937 0.0486
Mn3 0.5937 0.4063 0.9514
Mn4 0.9063 0.0937 0.4514
```

***

(8)
Starting from DFT lattice parameters and positions (GGA-PBE), the XRD peak list of Sc6MnTe2 was computed for λ = 1.5418 Å (Cu Kα).
Kinematic intensities with the Lorentz-polarization factor, no thermal factor.

Principal peaks in the range 15 to 90 degrees two-theta, most intense first:
35.6 deg, d = 2.519 Å, I 100; 32.9 deg, d = 2.720 Å, I 90; 23.1 deg, d = 3.847 Å, I 75; 42.9 deg, d = 2.107 Å, I 57; 40.6 deg, d = 2.221 Å, I 52; 64.0 deg, d = 1.454 Å, I 43; 47.3 deg, d = 1.924 Å, I 38; 69.0 deg, d = 1.360 Å, I 30

Cell and atoms:
```
data_Sc6MnTe2
_chemical_formula_sum 'Sc6 Mn1 Te2'
_space_group_name_H-M_alt 'P 1'
_space_group_IT_number 1
_space_group_name_Hall 'P 1'
_cell_length_a 7.6950
_cell_length_b 7.6950
_cell_length_c 3.8467
_cell_angle_alpha 90.00
_cell_angle_beta 90.00
_cell_angle_gamma 120.00
loop_
_atom_site_label
_atom_site_fract_x
_atom_site_fract_y
_atom_site_fract_z
Sc1 0.0000 0.2319 0.0000
Sc2 0.0000 0.6162 0.5000
Sc3 0.2319 0.0000 0.0000
Sc4 0.3838 0.3838 0.5000
Sc5 0.6162 0.0000 0.5000
Sc6 0.7681 0.7681 0.0000
Mn1 0.0000 0.0000 0.5000
Te1 0.3333 0.6667 0.0000
Te2 0.6667 0.3333 0.0000
```

***

(9)
Starting from DFT lattice parameters and positions (GGA-PBE), the XRD peak list of ThScMn17 was computed for λ = 1.5418 Å (Cu Kα).
Kinematic intensities with the Lorentz-polarization factor, no thermal factor.

Principal peaks in the range 15 to 90 degrees two-theta, most intense first:
43.2 deg, d = 2.093 Å, I 100; 41.9 deg, d = 2.155 Å, I 94; 39.3 deg, d = 2.292 Å, I 68; 36.1 deg, d = 2.488 Å, I 45; 31.1 deg, d = 2.880 Å, I 41; 32.7 deg, d = 2.742 Å, I 38; 19.4 deg, d = 4.584 Å, I 35; 44.8 deg, d = 2.023 Å, I 33

Cell and atoms:
```
data_ThScMn17
_chemical_formula_sum 'Th1 Sc1 Mn17'
_space_group_name_H-M_alt 'P 1'
_space_group_IT_number 1
_space_group_name_Hall 'P 1'
_cell_length_a 6.3052
_cell_length_b 6.3052
_cell_length_c 6.3052
_cell_angle_alpha 86.25
_cell_angle_beta 86.25
_cell_angle_gamma 86.25
loop_
_atom_site_label
_atom_site_fract_x
_atom_site_fract_y
_atom_site_fract_z
Th1 0.0000 0.0000 0.0000
Sc1 0.7075 0.7075 0.7075
Mn1 0.0827 0.3594 0.6312
Mn2 0.0827 0.6312 0.3594
Mn3 0.2344 0.7118 0.7118
Mn4 0.2573 0.2573 0.2573
Mn5 0.3594 0.0827 0.6312
Mn6 0.3594 0.6312 0.0827
Mn7 0.3598 0.3598 0.8567
Mn8 0.3598 0.8567 0.3598
Mn9 0.4578 0.4578 0.4578
Mn10 0.4830 0.9960 0.9960
Mn11 0.6312 0.0827 0.3594
Mn12 0.6312 0.3594 0.0827
Mn13 0.7118 0.2344 0.7118
Mn14 0.7118 0.7118 0.2344
Mn15 0.8567 0.3598 0.3598
Mn16 0.9960 0.4830 0.9960
Mn17 0.9960 0.9960 0.4830
```

***

(10)
Starting from DFT lattice parameters and positions (GGA-PBE), the XRD peak list of ScTiMn4 was computed for λ = 1.5418 Å (Cu Kα).
Kinematic intensities with the Lorentz-polarization factor, no thermal factor.

Principal peaks in the range 15 to 90 degrees two-theta, most intense first:
43.9 deg, d = 2.062 Å, I 100; 46.0 deg, d = 1.974 Å, I 46; 71.7 deg, d = 1.316 Å, I 27; 79.2 deg, d = 1.209 Å, I 24; 37.2 deg, d = 2.418 Å, I 22; 22.5 deg, d = 3.949 Å, I 15; 53.6 deg, d = 1.710 Å, I 7; 67.0 deg, d = 1.396 Å, I 7

Cell and atoms:
```
data_ScTiMn4
_chemical_formula_sum 'Sc1 Ti1 Mn4'
_space_group_name_H-M_alt 'P 1'
_space_group_IT_number 1
_space_group_name_Hall 'P 1'
_cell_length_a 4.8362
_cell_length_b 4.8362
_cell_length_c 4.8362
_cell_angle_alpha 60.00
_cell_angle_beta 60.00
_cell_angle_gamma 60.00
loop_
_atom_site_label
_atom_site_fract_x
_atom_site_fract_y
_atom_site_fract_z
Sc1 0.0000 0.0000 0.0000
Ti1 0.7500 0.7500 0.7500
Mn1 0.3753 0.3753 0.3753
Mn2 0.3753 0.3753 0.8741
Mn3 0.3753 0.8741 0.3753
Mn4 0.8741 0.3753 0.3753
```

***

(11)
Starting from DFT lattice parameters and positions (GGA-PBE), the XRD peak list of ScMnTl2 was computed for λ = 1.5418 Å (Cu Kα).
Kinematic intensities with the Lorentz-polarization factor, no thermal factor.

Principal peaks in the range 15 to 90 degrees two-theta, most intense first:
35.5 deg, d = 2.528 Å, I 100; 38.3 deg, d = 2.349 Å, I 42; 26.8 deg, d = 3.323 Å, I 37; 67.5 deg, d = 1.388 Å, I 31; 22.8 deg, d = 3.894 Å, I 26; 45.1 deg, d = 2.012 Å, I 18; 61.9 deg, d = 1.499 Å, I 18; 55.3 deg, d = 1.661 Å, I 14

Cell and atoms:
```
data_ScMnTl2
_chemical_formula_sum 'Sc1 Mn1 Tl2'
_space_group_name_H-M_alt 'P 1'
_space_group_IT_number 1
_space_group_name_Hall 'P 1'
_cell_length_a 3.3226
_cell_length_b 3.3226
_cell_length_c 7.7880
_cell_angle_alpha 90.00
_cell_angle_beta 90.00
_cell_angle_gamma 90.00
loop_
_atom_site_label
_atom_site_fract_x
_atom_site_fract_y
_atom_site_fract_z
Sc1 0.0000 0.0000 0.0000
Mn1 0.0000 0.0000 0.5000
Tl1 0.5000 0.5000 0.2670
Tl2 0.5000 0.5000 0.7330
```

***

(12)
Starting from DFT lattice parameters and positions (GGA-PBE), the XRD peak list of Sc4MnW was computed for λ = 1.5418 Å (Cu Kα).
Kinematic intensities with the Lorentz-polarization factor, no thermal factor.

Principal peaks in the range 15 to 90 degrees two-theta, most intense first:
37.9 deg, d = 2.376 Å, I 100; 32.1 deg, d = 2.786 Å, I 60; 19.5 deg, d = 4.550 Å, I 32; 61.1 deg, d = 1.517 Å, I 31; 57.3 deg, d = 1.609 Å, I 23; 67.2 deg, d = 1.393 Å, I 20; 39.6 deg, d = 2.275 Å, I 19; 22.6 deg, d = 3.941 Å, I 18

Cell and atoms:
```
data_Sc4MnW
_chemical_formula_sum 'Sc4 Mn1 W1'
_space_group_name_H-M_alt 'P 1'
_space_group_IT_number 1
_space_group_name_Hall 'P 1'
_cell_length_a 5.5727
_cell_length_b 5.5727
_cell_length_c 5.5727
_cell_angle_alpha 60.00
_cell_angle_beta 60.00
_cell_angle_gamma 60.00
loop_
_atom_site_label
_atom_site_fract_x
_atom_site_fract_y
_atom_site_fract_z
Sc1 0.1236 0.1236 0.1236
Sc2 0.1236 0.1236 0.6292
Sc3 0.1236 0.6292 0.1236
Sc4 0.6292 0.1236 0.1236
Mn1 0.5000 0.5000 0.5000
W1 0.7500 0.7500 0.7500
```